[1]
Diffraction record for PrTm2Zn2In2. The X-ray diffraction stick pattern is computed, not measured: it uses a crystal structure in Alexandria, relaxed with GGA-PBE and λ = 1.5418 Å (Cu Kα).
Neutral-atom scattering factors, no anomalous dispersion.

Peak list (10 most intense, 15° ≤ 2θ ≤ 90°, by intensity)
| 2θ (°) | Rel. int. |
| --- | --- |
| 38.0 | 100.0 |
| 31.6 | 81.9 |
| 34.2 | 78.6 |
| 21.9 | 31.9 |
| 64.5 | 28.2 |
| 52.0 | 23.7 |
| 66.2 | 22.8 |
| 50.3 | 22.3 |
| 64.7 | 20.6 |
| 68.7 | 17.1 |

Cell and atoms:
```
PrTm2Zn2In2
1.0
2.367 1.367 9.111
-2.367 1.367 9.111
0.000 -2.733 9.111
Pr Tm Zn In
1 2 2 2
Cartesian
0.000 0.000 0.000 Pr
0.000 0.000 3.543 Tm
0.000 0.000 23.789 Tm
0.000 0.000 11.209 Zn
0.000 0.000 16.123 Zn
0.000 0.000 7.058 In
0.000 0.000 20.274 In
```

***

[2]
Diffraction record for Rb2TiIn2O6. The X-ray diffraction stick pattern is computed, not measured: it uses a crystal structure in Alexandria, relaxed with GGA-PBE and λ = 1.5418 Å (Cu Kα).
Neutral-atom scattering factors, no anomalous dispersion.

Peak list (10 most intense, 15° ≤ 2θ ≤ 90°, by intensity)
| 2θ (°) | Rel. int. |
| --- | --- |
| 37.0 | 100.0 |
| 27.0 | 68.9 |
| 33.3 | 63.3 |
| 36.6 | 51.1 |
| 20.3 | 35.6 |
| 49.0 | 33.8 |
| 33.2 | 31.9 |
| 56.8 | 27.9 |
| 57.0 | 23.7 |
| 25.7 | 21.9 |

Cell and atoms:
```
Rb2TiIn2O6
1.0
2.813 -4.833 0.000
2.813 4.833 0.000
-1.921 0.000 6.614
Rb Ti In O
2 1 2 6
Cartesian
2.813 3.206 0.000 Rb
2.813 -3.206 0.000 Rb
-0.960 0.000 3.307 Ti
1.853 1.599 3.307 In
1.853 -1.599 3.307 In
-0.108 1.492 4.394 O
0.753 0.000 2.228 O
-0.108 -1.492 4.394 O
3.813 1.492 2.220 O
2.952 0.000 4.386 O
3.813 -1.492 2.220 O
```

***

[3]
Diffraction record for Ca5AcRh2. The X-ray diffraction stick pattern is computed, not measured: it uses a crystal structure in Alexandria, relaxed with GGA-PBE and λ = 1.5418 Å (Cu Kα).
Neutral-atom scattering factors, no anomalous dispersion.

Peak list (10 most intense, 15° ≤ 2θ ≤ 90°, by intensity)
| 2θ (°) | Rel. int. |
| --- | --- |
| 38.4 | 100.0 |
| 26.8 | 91.4 |
| 31.0 | 87.5 |
| 19.0 | 61.1 |
| 28.2 | 54.3 |
| 38.1 | 35.3 |
| 29.9 | 27.8 |
| 36.6 | 27.3 |
| 55.6 | 21.1 |
| 50.3 | 19.2 |

Cell and atoms:
```
Ca5AcRh2
1.0
11.918 0.000 0.000
0.000 9.325 0.000
-1.834 0.000 4.320
Ca Ac Rh
10 2 4
Cartesian
0.000 0.000 0.000 Ca
0.800 1.697 2.897 Ca
0.800 7.628 2.897 Ca
3.325 2.965 1.423 Ca
3.325 6.359 1.423 Ca
5.959 4.662 0.000 Ca
6.758 2.965 2.897 Ca
6.758 6.359 2.897 Ca
9.284 1.697 1.423 Ca
9.284 7.628 1.423 Ca
0.000 4.662 0.000 Ac
5.959 0.000 0.000 Ac
1.273 4.662 3.105 Rh
2.851 0.000 1.215 Rh
7.232 0.000 3.105 Rh
8.810 4.662 1.215 Rh
```

***

[4]
Diffraction record for AgBi2O3. The X-ray diffraction stick pattern is computed, not measured: it uses a crystal structure in Alexandria, relaxed with GGA-PBE and λ = 1.5418 Å (Cu Kα).
Neutral-atom scattering factors, no anomalous dispersion.

Peak list (10 most intense, 15° ≤ 2θ ≤ 90°, by intensity)
| 2θ (°) | Rel. int. |
| --- | --- |
| 28.4 | 100.0 |
| 33.1 | 78.4 |
| 35.3 | 77.1 |
| 51.9 | 48.5 |
| 56.4 | 35.3 |
| 36.7 | 32.9 |
| 44.2 | 23.0 |
| 64.7 | 21.3 |
| 58.8 | 16.5 |
| 74.6 | 14.5 |

Cell and atoms:
```
AgBi2O3
1.0
3.245 0.000 0.000
0.000 4.096 0.000
0.000 0.000 14.674
Ag Bi O
2 4 6
Cartesian
0.000 0.000 0.000 Ag
1.622 2.048 7.337 Ag
0.000 0.000 5.052 Bi
0.000 0.000 9.621 Bi
1.622 2.048 2.285 Bi
1.622 2.048 12.389 Bi
0.000 0.000 2.777 O
0.000 0.000 11.897 O
0.000 2.048 0.000 O
1.622 0.000 7.337 O
1.622 2.048 4.560 O
1.622 2.048 10.114 O
```